No. 1
Structure and theoretical PXRD pattern of Dy8Sc2Al (a structure optimized by DFT (GGA-PBE); λ = 1.5418 Å (Cu Kα)).
Kinematic intensities with the Lorentz-polarization factor, no thermal factor.

Most intense lines, 5° ≤ 2θ ≤ 70°, in order of rising 2θ:
d_spacing  I/Imax
2.861  19
2.816  16
2.710  100
2.696  30
1.962  15
1.559  19

Cell and atoms:
```
data_Dy8Sc2Al
_chemical_formula_sum 'Dy8 Sc2 Al1'
_cell_length_a 9.7347
_cell_length_b 9.7347
_cell_length_c 6.3174
_cell_angle_alpha 93.35
_cell_angle_beta 93.35
_cell_angle_gamma 32.15
_symmetry_space_group_name_H-M 'P 1'
_symmetry_Int_Tables_number 1
loop_
_symmetry_equiv_pos_as_xyz
'x,y,z'
loop_
_atom_site_label
_atom_site_fract_x
_atom_site_fract_y
_atom_site_fract_z
_atom_site_occupancy
Dy1 0.0429 0.0429 0.2538 1
Dy2 0.1576 0.1576 0.8050 1
Dy3 0.3392 0.3392 0.8796 1
Dy4 0.4194 0.4194 0.4014 1
Dy5 0.5806 0.5806 0.5986 1
Dy6 0.6608 0.6608 0.1204 1
Dy7 0.8424 0.8424 0.1950 1
Dy8 0.9571 0.9571 0.7462 1
Sc1 0.2403 0.2403 0.3408 1
Sc2 0.7597 0.7597 0.6592 1
Al1 0.5000 0.5000 0.0000 1
```

***

No. 2
Structure and theoretical PXRD pattern of Dy3ScAl2 (a structure optimized by DFT (GGA-PBE); λ = 1.5418 Å (Cu Kα)).
Kinematic intensities with the Lorentz-polarization factor, no thermal factor.

Most intense lines, 5° ≤ 2θ ≤ 70°, in order of rising 2θ:
d_spacing  I/Imax
3.986  89
3.223  36
2.993  39
2.668  100
2.420  46
1.794  42

Cell and atoms:
```
data_Dy3ScAl2
_chemical_formula_sum 'Dy6 Sc2 Al4'
_cell_length_a 3.2759
_cell_length_b 5.3421
_cell_length_c 17.9590
_cell_angle_alpha 90.00
_cell_angle_beta 90.00
_cell_angle_gamma 90.00
_symmetry_space_group_name_H-M 'P 1'
_symmetry_Int_Tables_number 1
loop_
_symmetry_equiv_pos_as_xyz
'x,y,z'
loop_
_atom_site_label
_atom_site_fract_x
_atom_site_fract_y
_atom_site_fract_z
_atom_site_occupancy
Dy1 0.0000 0.0000 0.0000 1
Dy2 0.0000 0.5000 0.1856 1
Dy3 0.0000 0.5000 0.8144 1
Dy4 0.5000 0.0000 0.3144 1
Dy5 0.5000 0.0000 0.6856 1
Dy6 0.5000 0.5000 0.5000 1
Sc1 0.0000 0.5000 0.0000 1
Sc2 0.5000 0.0000 0.5000 1
Al1 0.0000 0.5000 0.3552 1
Al2 0.0000 0.5000 0.6448 1
Al3 0.5000 0.0000 0.1448 1
Al4 0.5000 0.0000 0.8552 1
```

***

No. 3
Structure and theoretical PXRD pattern of Dy2ScAl6 (a structure optimized by DFT (GGA-PBE); λ = 1.5418 Å (Cu Kα)).
Kinematic intensities with the Lorentz-polarization factor, no thermal factor.

Most intense lines, 5° ≤ 2θ ≤ 70°, in order of rising 2θ:
d_spacing  I/Imax
6.804  30
3.928  57
2.565  100
2.268  46
1.699  28
1.360  26

Cell and atoms:
```
data_Dy2ScAl6
_chemical_formula_sum 'Dy2 Sc1 Al6'
_cell_length_a 7.8564
_cell_length_b 7.8564
_cell_length_c 3.3862
_cell_angle_alpha 90.00
_cell_angle_beta 90.00
_cell_angle_gamma 120.00
_symmetry_space_group_name_H-M 'P 1'
_symmetry_Int_Tables_number 1
loop_
_symmetry_equiv_pos_as_xyz
'x,y,z'
loop_
_atom_site_label
_atom_site_fract_x
_atom_site_fract_y
_atom_site_fract_z
_atom_site_occupancy
Dy1 0.3333 0.6667 0.0000 1
Dy2 0.6667 0.3333 0.0000 1
Sc1 0.0000 0.0000 0.0000 1
Al1 0.0000 0.3301 0.5000 1
Al2 0.0000 0.6699 0.5000 1
Al3 0.3301 0.0000 0.5000 1
Al4 0.3301 0.3301 0.5000 1
Al5 0.6699 0.0000 0.5000 1
Al6 0.6699 0.6699 0.5000 1
```

***

No. 4
Structure and theoretical PXRD pattern of DySc5Al2 (a structure optimized by DFT (GGA-PBE); λ = 1.5418 Å (Cu Kα)).
Kinematic intensities with the Lorentz-polarization factor, no thermal factor.

Most intense lines, 5° ≤ 2θ ≤ 70°, in order of rising 2θ:
d_spacing  I/Imax
7.422  50
3.711  36
2.775  31
2.666  100
2.538  57
2.502  75

Cell and atoms:
```
data_DySc5Al2
_chemical_formula_sum 'Dy2 Sc10 Al4'
_cell_length_a 3.3357
_cell_length_b 9.5834
_cell_length_c 11.7339
_cell_angle_alpha 90.00
_cell_angle_beta 90.00
_cell_angle_gamma 90.00
_symmetry_space_group_name_H-M 'P 1'
_symmetry_Int_Tables_number 1
loop_
_symmetry_equiv_pos_as_xyz
'x,y,z'
loop_
_atom_site_label
_atom_site_fract_x
_atom_site_fract_y
_atom_site_fract_z
_atom_site_occupancy
Dy1 0.0000 0.0000 0.0000 1
Dy2 0.5000 0.5000 0.5000 1
Sc1 0.0000 0.2234 0.3641 1
Sc2 0.0000 0.2234 0.6359 1
Sc3 0.0000 0.5000 0.0000 1
Sc4 0.0000 0.7766 0.3641 1
Sc5 0.0000 0.7766 0.6359 1
Sc6 0.5000 0.0000 0.5000 1
Sc7 0.5000 0.2766 0.1359 1
Sc8 0.5000 0.2766 0.8641 1
Sc9 0.5000 0.7234 0.1359 1
Sc10 0.5000 0.7234 0.8641 1
Al1 0.0000 0.5000 0.2560 1
Al2 0.0000 0.5000 0.7440 1
Al3 0.5000 0.0000 0.2440 1
Al4 0.5000 0.0000 0.7560 1
```

***

No. 5
Structure and theoretical PXRD pattern of Dy3ScAl (a structure optimized by DFT (GGA-PBE); λ = 1.5418 Å (Cu Kα)).
Kinematic intensities with the Lorentz-polarization factor, no thermal factor.

Most intense lines, 5° ≤ 2θ ≤ 70°, in order of rising 2θ:
d_spacing  I/Imax
2.764  93
2.682  100
2.573  55
2.516  46
2.479  41
1.799  37

Cell and atoms:
```
data_Dy3ScAl
_chemical_formula_sum 'Dy6 Sc2 Al2'
_cell_length_a 8.3146
_cell_length_b 8.3146
_cell_length_c 6.7654
_cell_angle_alpha 90.00
_cell_angle_beta 90.00
_cell_angle_gamma 144.77
_symmetry_space_group_name_H-M 'P 1'
_symmetry_Int_Tables_number 1
loop_
_symmetry_equiv_pos_as_xyz
'x,y,z'
loop_
_atom_site_label
_atom_site_fract_x
_atom_site_fract_y
_atom_site_fract_z
_atom_site_occupancy
Dy1 0.1119 0.8881 0.9999 1
Dy2 0.1119 0.8881 0.5001 1
Dy3 0.2968 0.7032 0.7500 1
Dy4 0.7032 0.2968 0.2500 1
Dy5 0.8881 0.1119 0.0001 1
Dy6 0.8881 0.1119 0.4999 1
Sc1 0.4928 0.5072 0.2500 1
Sc2 0.5072 0.4928 0.7500 1
Al1 0.3054 0.6946 0.2500 1
Al2 0.6946 0.3054 0.7500 1
```

***

No. 6
Structure and theoretical PXRD pattern of Dy2ScAl (a structure optimized by DFT (GGA-PBE); λ = 1.5418 Å (Cu Kα)).
Kinematic intensities with the Lorentz-polarization factor, no thermal factor.

Most intense lines, 5° ≤ 2θ ≤ 70°, in order of rising 2θ:
d_spacing  I/Imax
3.867  70
2.714  100
2.620  59
2.609  29
2.595  29
2.481  33

Cell and atoms:
```
data_Dy2ScAl
_chemical_formula_sum 'Dy4 Sc2 Al2'
_cell_length_a 6.4052
_cell_length_b 4.9627
_cell_length_c 6.7185
_cell_angle_alpha 90.00
_cell_angle_beta 105.53
_cell_angle_gamma 90.00
_symmetry_space_group_name_H-M 'P 1'
_symmetry_Int_Tables_number 1
loop_
_symmetry_equiv_pos_as_xyz
'x,y,z'
loop_
_atom_site_label
_atom_site_fract_x
_atom_site_fract_y
_atom_site_fract_z
_atom_site_occupancy
Dy1 0.1572 0.2500 0.4142 1
Dy2 0.1782 0.2500 0.9149 1
Dy3 0.8218 0.7500 0.0851 1
Dy4 0.8428 0.7500 0.5858 1
Sc1 0.3827 0.7500 0.2269 1
Sc2 0.6173 0.2500 0.7731 1
Al1 0.3728 0.7500 0.7114 1
Al2 0.6272 0.2500 0.2886 1
```

***

No. 7
Structure and theoretical PXRD pattern of Dy2ScAl9 (a structure optimized by DFT (GGA-PBE); λ = 1.5418 Å (Cu Kα)).
Kinematic intensities with the Lorentz-polarization factor, no thermal factor.

Most intense lines, 5° ≤ 2θ ≤ 70°, in order of rising 2θ:
d_spacing  I/Imax
4.205  68
2.974  57
2.428  100
2.103  49
1.881  31
1.487  32

Cell and atoms:
```
data_Dy2ScAl9
_chemical_formula_sum 'Dy2 Sc1 Al9'
_cell_length_a 4.2081
_cell_length_b 4.2081
_cell_length_c 12.5981
_cell_angle_alpha 90.00
_cell_angle_beta 90.00
_cell_angle_gamma 90.00
_symmetry_space_group_name_H-M 'P 1'
_symmetry_Int_Tables_number 1
loop_
_symmetry_equiv_pos_as_xyz
'x,y,z'
loop_
_atom_site_label
_atom_site_fract_x
_atom_site_fract_y
_atom_site_fract_z
_atom_site_occupancy
Dy1 0.0000 0.0000 0.1703 1
Dy2 0.0000 0.0000 0.8297 1
Sc1 0.0000 0.0000 0.5000 1
Al1 0.0000 0.5000 0.0000 1
Al2 0.0000 0.5000 0.3408 1
Al3 0.0000 0.5000 0.6592 1
Al4 0.5000 0.0000 0.0000 1
Al5 0.5000 0.0000 0.3408 1
Al6 0.5000 0.0000 0.6592 1
Al7 0.5000 0.5000 0.1688 1
Al8 0.5000 0.5000 0.5000 1
Al9 0.5000 0.5000 0.8312 1
```